1.
The following is a simulated X-ray powder pattern of Ac4AgSn2. It was derived from a GGA-PBE-relaxed structure, using Cu Kα X-rays.
Lines closer than 0.1° are merged.

abc: 8.7420 8.7420 8.7420
angles: 110.58 110.58 107.28
Sites, in units of the cell vectors:
1 Ac 0.0074 0.8678 0.5096
2 Ac 0.1327 0.1422 0.1397
3 Ac 0.3673 0.5070 0.0095
4 Ac 0.4926 0.0022 0.8604
5 Ac 0.5025 0.9930 0.3603
6 Ac 0.6417 0.6322 0.6395
7 Ac 0.8583 0.4978 0.9904
8 Ac 0.9975 0.3578 0.4905
9 Ag 0.6256 0.3756 0.2500
10 Ag 0.8744 0.1244 0.7500
11 Sn 0.1284 0.7500 0.8784
12 Sn 0.2500 0.6284 0.3784
13 Sn 0.3716 0.2500 0.6216
14 Sn 0.7500 0.8716 0.1216

Principal peaks in the range 2θ = 10–90°, in order of rising 2θ:
d/Å  I_rel
3.264  95
3.161  79
3.148  100
2.730  69
2.691  58
2.668  54
2.046  37
1.955  35

---

2.
The following is a simulated X-ray powder pattern of PmNpRh4. It was derived from a GGA-PBE-relaxed structure, using Cu Kα X-rays.
Lines closer than 0.1° are merged.

abc: 5.3566 5.3566 5.3566
angles: 60.00 60.00 60.00
Sites, in units of the cell vectors:
1 Pm 0.0000 0.0000 0.0000
2 Np 0.2500 0.2500 0.2500
3 Rh 0.1259 0.6247 0.6247
4 Rh 0.6247 0.1259 0.6247
5 Rh 0.6247 0.6247 0.1259
6 Rh 0.6247 0.6247 0.6247

Principal peaks in the range 2θ = 10–90°, in order of rising 2θ:
d/Å  I_rel
2.678  48
2.284  100
2.187  23
1.546  19
1.458  32
1.339  25
1.155  12
1.142  8